This entry pairs a crystal structure of Nd2SmS4 with its calculated X-ray diffraction stick pattern. Radiation: a wavelength of 1.5418 Å. Structure: a PBE-relaxed structure.
No peak broadening, texture or thermal motion is included.

Top 8 peaks for 10 to 90 degrees two-theta, most intense first:
(2 1 1), 2θ 25.55, I = 100; (3 1 0), 2θ 33.23, I = 87; (1 0 3), 2θ 32.89, I = 48; (1 1 2), 2θ 25.41, I = 45; (3 1 2), 2θ 39.43, I = 28; (2 1 3), 2θ 39.27, I = 28; (3 2 1), 2θ 39.53, I = 27; (6 1 1), 2θ 67.73, I = 23

Structural model:
Lattice parameters (Å, degrees): 8.5224 8.5224 8.6206 90.00 90.00 90.00
Space group I-42d (No. 122)
Inequivalent atoms, fractional coordinates:
Nd 0.1173 0.7500 0.1250 (multiplicity 8)
Sm 0.0000 0.0000 0.5000 (multiplicity 4)
S 0.0739 0.6787 0.4505 (multiplicity 16)